Starting from a cell relaxed with PBE, the PXRD pattern of K2IrRu was computed for Cu Kα (weighted mean of Kα1 and Kα2).
Kinematic intensities with the Lorentz-polarization factor, no thermal factor.

Most intense lines, 2θ = 10–90°, sorted by position:
index, 2θ/deg, d/Å, I (rel.)
0 0 2, 17.58, 5.044, 90
0 0 3, 26.50, 3.363, 74
0 1 2, 28.64, 3.117, 59
0 1 3, 34.99, 2.564, 71
1 1 0, 38.92, 2.314, 100
1 1 -1, 39.91, 2.259, 51
1 1 1, 40.04, 2.252, 45
0 2 0, 45.78, 1.982, 31
1 1 3, 47.90, 1.899, 37
0 1 6, 59.75, 1.548, 35

Crystal structure
Cell: 2.8497 3.9641 10.0892 Å, 90.00 90.51 90.00°
Space group Pm (No. 6)
Unique sites:
K 0.0000 0.0000 0.0000 x1
K 0.4689 0.5000 0.4302 x1
Ir 0.9829 0.0000 0.6733 x1
Ru 0.4862 0.5000 0.7523 x1